[1]
Computed X-ray diffraction stick pattern of Ce2CoO5 for Cu Kα, 1.54184 Å, from a cell relaxed with GGA+U.

Structure:
```
data_Ce2CoO5
_chemical_formula_sum 'Ce8 Co4 O20'
_cell_length_a 10.5786
_cell_length_b 3.7673
_cell_length_c 11.4959
_cell_angle_alpha 90.00
_cell_angle_beta 90.00
_cell_angle_gamma 90.00
_symmetry_space_group_name_H-M 'P n m a'
_symmetry_Int_Tables_number 62
_symmetry_space_group_name_Hall '-P 2ac 2n'
loop_
_atom_site_label
_atom_site_fract_x
_atom_site_fract_y
_atom_site_fract_z
Ce1 0.1030 0.2500 0.2302
Ce2 0.1460 0.2500 0.5668
Co1 0.1807 0.2500 0.8844
O1 0.0203 0.2500 0.7967
O2 0.0207 0.7500 0.5920
O3 0.2133 0.2500 0.0570
O4 0.2299 0.7500 0.2235
O5 0.2381 0.2500 0.3903
```

Peak list (8 most intense, 2θ from 10° to 90°, sorted by position)
2theta  I/Imax  (hkl)
11.37  21.7  1 0 1
28.77  82.5  2 0 3
29.10  100.0  2 1 0
33.35  39.1  0 1 3
47.44  14.2  0 0 6
48.30  69.2  0 2 0
56.63  14.5  2 1 6
57.21  23.5  2 2 3

***

[2]
Computed X-ray diffraction stick pattern of Ce4CoO10 for Cu Kα, 1.54184 Å, from a cell relaxed with GGA+U.

Structure:
```
data_Ce4CoO10
_chemical_formula_sum 'Ce12 Co3 O30'
_cell_length_a 3.8391
_cell_length_b 3.8391
_cell_length_c 44.8855
_cell_angle_alpha 90.00
_cell_angle_beta 90.00
_cell_angle_gamma 120.00
_symmetry_space_group_name_H-M 'R -3 m'
_symmetry_Int_Tables_number 166
_symmetry_space_group_name_Hall '-R 3 2"'
loop_
_atom_site_label
_atom_site_fract_x
_atom_site_fract_y
_atom_site_fract_z
Ce1 0.0000 0.0000 0.1062
Ce2 0.0000 0.0000 0.2979
Co1 0.0000 0.0000 0.5000
O1 0.0000 0.0000 0.0532
O2 0.0000 0.0000 0.1602
O3 0.0000 0.0000 0.2450
O4 0.0000 0.0000 0.3510
O5 0.0000 0.0000 0.4569
```

Peak list (8 most intense, 2θ from 10° to 90°, sorted by position)
2theta  I/Imax  (hkl)
28.63  100.0  0 1 5
29.86  27.7  0 0 15
33.54  34.4  1 0 10
47.36  39.9  1 1 0
48.97  25.1  0 1 20
56.28  14.9  2 0 5
57.00  26.0  1 1 15
76.55  11.9  1 2 5

***

[3]
Computed X-ray diffraction stick pattern of CePuCoO6 for Cu Kα, 1.54184 Å, from a cell relaxed with GGA+U.

Structure:
```
data_CePuCoO6
_chemical_formula_sum 'Ce2 Pu2 Co2 O12'
_cell_length_a 5.2072
_cell_length_b 5.2072
_cell_length_c 10.0733
_cell_angle_alpha 90.00
_cell_angle_beta 90.00
_cell_angle_gamma 120.00
_symmetry_space_group_name_H-M 'P -3 1 c'
_symmetry_Int_Tables_number 163
_symmetry_space_group_name_Hall '-P 3 2c'
loop_
_atom_site_label
_atom_site_fract_x
_atom_site_fract_y
_atom_site_fract_z
Ce1 0.0000 0.0000 0.0000
Pu1 0.3333 0.6667 0.2500
Co1 0.3333 0.6667 0.7500
O1 0.0254 0.3637 0.6384
```

Peak list (8 most intense, 2θ from 10° to 90°, sorted by position)
2theta  I/Imax  (hkl)
17.61  15.9  0 0 2
21.59  37.6  1 0 1
26.53  100.0  1 0 2
34.45  45.6  1 1 0
44.00  25.3  2 0 2
50.41  47.2  1 1 4
57.04  23.7  2 1 2
61.71  17.0  3 0 0